Entry 1:
The following is a theoretical X-ray diffraction stick pattern of Pr2HfN2O2. It was derived from a DFT-relaxed cell (GGA-PBE, Alexandria), using CuKα.
Lines closer than 0.1° are merged.

Most intense lines, 2θ = 5–70°, in order of rising 2θ:
two_theta  intensity
14.57  24
29.90  82
30.56  100
42.79  38
42.92  32
53.50  43
54.74  10
62.18  33
63.63  9
69.38  10

Cell and atoms:
```
data_Pr2HfN2O2
_cell_length_a 4.226
_cell_length_b 4.226
_cell_length_c 12.156
_cell_angle_alpha 90.00
_cell_angle_beta 90.00
_cell_angle_gamma 90.00
_space_group_name_H-M_alt 'P 1'
_space_group_IT_number 1
loop_
_space_group_symop_operation_xyz
'x,y,z'
loop_
_atom_site_label
_atom_site_fract_x
_atom_site_fract_y
_atom_site_fract_z
Pr1 0.000 0.000 0.134
Pr2 0.000 0.000 0.866
Pr3 0.500 0.500 0.366
Pr4 0.500 0.500 0.634
Hf1 0.000 0.000 0.500
Hf2 0.500 0.500 0.000
N1 0.000 0.500 0.000
N2 0.000 0.500 0.500
N3 0.500 0.000 0.000
N4 0.500 0.000 0.500
O1 0.000 0.000 0.322
O2 0.000 0.000 0.678
O3 0.500 0.500 0.178
O4 0.500 0.500 0.822
```

***

Entry 2:
The following is a theoretical X-ray diffraction stick pattern of SmDyAsS. It was derived from a DFT-relaxed cell (GGA-PBE, Alexandria), using CuKα.
Lines closer than 0.1° are merged.

Most intense lines, 2θ = 5–70°, in order of rising 2θ:
two_theta  intensity
26.82  63
30.99  100
31.21  49
44.40  37
44.56  73
52.63  21
52.91  10
55.26  38
64.59  12
65.09  6

Cell and atoms:
```
data_SmDyAsS
_cell_length_a 4.081
_cell_length_b 4.081
_cell_length_c 5.733
_cell_angle_alpha 90.00
_cell_angle_beta 90.00
_cell_angle_gamma 90.00
_space_group_name_H-M_alt 'P 1'
_space_group_IT_number 1
loop_
_space_group_symop_operation_xyz
'x,y,z'
loop_
_atom_site_label
_atom_site_fract_x
_atom_site_fract_y
_atom_site_fract_z
Sm1 0.000 0.000 0.000
Dy1 0.500 0.500 0.500
As1 0.500 0.500 0.000
S1 0.000 0.000 0.500
```

***

Entry 3:
The following is a theoretical X-ray diffraction stick pattern of SrTlIn3. It was derived from a DFT-relaxed cell (GGA-PBE, Alexandria), using CuKα.
Lines closer than 0.1° are merged.

Most intense lines, 2θ = 5–70°, in order of rising 2θ:
two_theta  intensity
22.81  59
25.90  28
29.02  47
32.17  25
33.10  100
39.55  27
40.33  37
41.51  30
41.76  42
64.16  28

Cell and atoms:
```
data_SrTlIn3
_cell_length_a 6.514
_cell_length_b 6.876
_cell_length_c 6.883
_cell_angle_alpha 90.00
_cell_angle_beta 90.00
_cell_angle_gamma 90.00
_space_group_name_H-M_alt 'P 1'
_space_group_IT_number 1
loop_
_space_group_symop_operation_xyz
'x,y,z'
loop_
_atom_site_label
_atom_site_fract_x
_atom_site_fract_y
_atom_site_fract_z
Sr1 0.000 0.240 0.000
Sr2 0.500 0.760 0.500
Tl1 0.000 0.900 0.356
Tl2 0.500 0.100 0.856
In1 0.000 0.600 0.656
In2 0.250 0.259 0.502
In3 0.250 0.741 0.002
In4 0.500 0.400 0.156
In5 0.750 0.259 0.502
In6 0.750 0.741 0.002
```

***

Entry 4:
The following is a theoretical X-ray diffraction stick pattern of Cd3Pd12Pt. It was derived from a DFT-relaxed cell (GGA-PBE, Alexandria), using CuKα.
Lines closer than 0.1° are merged.

Most intense lines, 2θ = 5–70°, in order of rising 2θ:
two_theta  intensity
5.48  5
10.97  1
22.23  1
22.91  1
38.90  100
42.52  1
44.98  16
45.35  32
65.79  20
66.08  10

Cell and atoms:
```
data_Cd3Pd12Pt
_cell_length_a 3.999
_cell_length_b 3.999
_cell_length_c 16.123
_cell_angle_alpha 90.00
_cell_angle_beta 90.00
_cell_angle_gamma 90.00
_space_group_name_H-M_alt 'P 1'
_space_group_IT_number 1
loop_
_space_group_symop_operation_xyz
'x,y,z'
loop_
_atom_site_label
_atom_site_fract_x
_atom_site_fract_y
_atom_site_fract_z
Cd1 0.000 0.000 0.000
Cd2 0.000 0.000 0.252
Cd3 0.000 0.000 0.748
Pd1 0.000 0.500 0.126
Pd2 0.000 0.500 0.379
Pd3 0.000 0.500 0.621
Pd4 0.000 0.500 0.874
Pd5 0.500 0.000 0.126
Pd6 0.500 0.000 0.379
Pd7 0.500 0.000 0.621
Pd8 0.500 0.000 0.874
Pd9 0.500 0.500 0.000
Pd10 0.500 0.500 0.253
Pd11 0.500 0.500 0.500
Pd12 0.500 0.500 0.747
Pt1 0.000 0.000 0.500
```

***

Entry 5:
The following is a theoretical X-ray diffraction stick pattern of AgGeAsO6. It was derived from a DFT-relaxed cell (GGA-PBE, Alexandria), using CuKα.
Lines closer than 0.1° are merged.

Most intense lines, 2θ = 5–70°, in order of rising 2θ:
two_theta  intensity
19.25  4
28.26  100
35.89  34
39.08  6
41.04  7
46.29  23
54.09  40
59.92  22
64.32  8
64.50  14

Cell and atoms:
```
data_AgGeAsO6
_cell_length_a 5.005
_cell_length_b 5.005
_cell_length_c 9.220
_cell_angle_alpha 90.00
_cell_angle_beta 90.00
_cell_angle_gamma 120.00
_space_group_name_H-M_alt 'P 1'
_space_group_IT_number 1
loop_
_space_group_symop_operation_xyz
'x,y,z'
loop_
_atom_site_label
_atom_site_fract_x
_atom_site_fract_y
_atom_site_fract_z
Ag1 0.000 0.000 0.000
Ag2 0.000 0.000 0.500
Ge1 0.333 0.667 0.250
Ge2 0.667 0.333 0.750
As1 0.333 0.667 0.750
As2 0.667 0.333 0.250
O1 0.007 0.373 0.640
O2 0.007 0.634 0.860
O3 0.366 0.373 0.860
O4 0.366 0.993 0.640
O5 0.373 0.007 0.140
O6 0.373 0.366 0.360
O7 0.627 0.634 0.640
O8 0.627 0.993 0.860
O9 0.634 0.007 0.360
O10 0.634 0.627 0.140
O11 0.993 0.366 0.140
O12 0.993 0.627 0.360
```

***

Entry 6:
The following is a theoretical X-ray diffraction stick pattern of CaAc3Si6. It was derived from a DFT-relaxed cell (GGA-PBE, Alexandria), using CuKα.
Lines closer than 0.1° are merged.

Most intense lines, 2θ = 5–70°, in order of rising 2θ:
two_theta  intensity
14.43  45
22.59  57
23.40  29
27.06  45
29.09  26
31.27  100
34.03  40
34.98  55
45.47  30
50.31  41

Cell and atoms:
```
data_CaAc3Si6
_cell_length_a 8.094
_cell_length_b 8.094
_cell_length_c 8.094
_cell_angle_alpha 98.68
_cell_angle_beta 98.68
_cell_angle_gamma 98.68
_space_group_name_H-M_alt 'P 1'
_space_group_IT_number 1
loop_
_space_group_symop_operation_xyz
'x,y,z'
loop_
_atom_site_label
_atom_site_fract_x
_atom_site_fract_y
_atom_site_fract_z
Ca1 0.000 0.000 0.000
Ca2 0.500 0.500 0.500
Ac1 0.190 0.750 0.310
Ac2 0.250 0.690 0.810
Ac3 0.310 0.190 0.750
Ac4 0.690 0.810 0.250
Ac5 0.750 0.310 0.190
Ac6 0.810 0.250 0.690
Si1 0.016 0.094 0.395
Si2 0.094 0.395 0.016
Si3 0.105 0.406 0.484
Si4 0.395 0.016 0.094
Si5 0.406 0.484 0.105
Si6 0.484 0.105 0.406
Si7 0.516 0.895 0.594
Si8 0.594 0.516 0.895
Si9 0.605 0.984 0.906
Si10 0.895 0.594 0.516
Si11 0.906 0.605 0.984
Si12 0.984 0.906 0.605
```

***

Entry 7:
The following is a theoretical X-ray diffraction stick pattern of Ta5N6. It was derived from a DFT-relaxed cell (GGA-PBE, Alexandria), using CuKα.
Lines closer than 0.1° are merged.

Most intense lines, 2θ = 5–70°, in order of rising 2θ:
two_theta  intensity
19.64  19
26.06  28
34.30  39
35.45  55
38.55  100
39.86  11
43.31  49
56.38  21
61.54  30
64.28  25

Cell and atoms:
```
data_Ta5N6
_cell_length_a 5.220
_cell_length_b 5.220
_cell_length_c 10.456
_cell_angle_alpha 90.00
_cell_angle_beta 90.00
_cell_angle_gamma 120.00
_space_group_name_H-M_alt 'P 1'
_space_group_IT_number 1
loop_
_space_group_symop_operation_xyz
'x,y,z'
loop_
_atom_site_label
_atom_site_fract_x
_atom_site_fract_y
_atom_site_fract_z
Ta1 0.000 0.324 0.250
Ta2 0.000 0.676 0.750
Ta3 0.324 0.000 0.250
Ta4 0.324 0.324 0.750
Ta5 0.333 0.667 0.000
Ta6 0.333 0.667 0.500
Ta7 0.667 0.333 0.000
Ta8 0.667 0.333 0.500
Ta9 0.676 0.000 0.750
Ta10 0.676 0.676 0.250
N1 0.000 0.340 0.622
N2 0.000 0.340 0.878
N3 0.000 0.660 0.122
N4 0.000 0.660 0.378
N5 0.340 0.000 0.622
N6 0.340 0.000 0.878
N7 0.340 0.340 0.122
N8 0.340 0.340 0.378
N9 0.660 0.000 0.122
N10 0.660 0.000 0.378
N11 0.660 0.660 0.622
N12 0.660 0.660 0.878
```

***

Entry 8:
The following is a theoretical X-ray diffraction stick pattern of Ba2TlSnO5. It was derived from a DFT-relaxed cell (GGA-PBE, Alexandria), using CuKα.
Lines closer than 0.1° are merged.

Most intense lines, 2θ = 5–70°, in order of rising 2θ:
two_theta  intensity
27.12  100
28.40  31
29.87  67
31.18  26
31.51  67
32.27  33
35.48  27
37.39  32
47.04  29
48.55  33

Cell and atoms:
```
data_Ba2TlSnO5
_cell_length_a 8.828
_cell_length_b 8.828
_cell_length_c 10.120
_cell_angle_alpha 90.00
_cell_angle_beta 90.00
_cell_angle_gamma 157.14
_space_group_name_H-M_alt 'P 1'
_space_group_IT_number 1
loop_
_space_group_symop_operation_xyz
'x,y,z'
loop_
_atom_site_label
_atom_site_fract_x
_atom_site_fract_y
_atom_site_fract_z
Ba1 0.127 0.873 0.500
Ba2 0.127 0.873 0.917
Ba3 0.873 0.127 0.000
Ba4 0.873 0.127 0.417
Tl1 0.479 0.521 0.709
Tl2 0.521 0.479 0.209
Sn1 0.226 0.774 0.209
Sn2 0.774 0.226 0.709
O1 0.104 0.896 0.209
O2 0.282 0.718 0.574
O3 0.282 0.718 0.843
O4 0.344 0.656 0.209
O5 0.500 0.500 0.459
O6 0.500 0.500 0.959
O7 0.656 0.344 0.709
O8 0.718 0.282 0.074
O9 0.718 0.282 0.343
O10 0.896 0.104 0.709
```

***

Entry 9:
The following is a theoretical X-ray diffraction stick pattern of CaSm8. It was derived from a DFT-relaxed cell (GGA-PBE, Alexandria), using CuKα.
Lines closer than 0.1° are merged.

Most intense lines, 2θ = 5–70°, in order of rising 2θ:
two_theta  intensity
9.90  3
16.18  3
29.99  100
34.77  51
49.97  30
50.05  6
59.39  39
59.48  4
62.30  9
62.39  3

Cell and atoms:
```
data_CaSm8
_cell_length_a 6.323
_cell_length_b 6.324
_cell_length_c 8.930
_cell_angle_alpha 89.92
_cell_angle_beta 89.92
_cell_angle_gamma 60.01
_space_group_name_H-M_alt 'P 1'
_space_group_IT_number 1
loop_
_space_group_symop_operation_xyz
'x,y,z'
loop_
_atom_site_label
_atom_site_fract_x
_atom_site_fract_y
_atom_site_fract_z
Ca1 0.000 0.000 0.000
Sm1 0.000 0.338 0.337
Sm2 0.000 0.662 0.663
Sm3 0.333 0.333 0.000
Sm4 0.338 0.000 0.663
Sm5 0.339 0.662 0.337
Sm6 0.661 0.338 0.663
Sm7 0.662 0.000 0.337
Sm8 0.667 0.667 0.000
```

***

Entry 10:
The following is a theoretical X-ray diffraction stick pattern of Hg5Sb2I6. It was derived from a DFT-relaxed cell (GGA-PBE, Alexandria), using CuKα.
Lines closer than 0.1° are merged.

Most intense lines, 2θ = 5–70°, in order of rising 2θ:
two_theta  intensity
11.29  42
22.97  44
25.10  71
26.01  41
26.75  100
27.29  28
29.23  30
40.68  26
40.96  38
46.42  37

Cell and atoms:
```
data_Hg5Sb2I6
_cell_length_a 21.801
_cell_length_b 8.415
_cell_length_c 11.253
_cell_angle_alpha 90.00
_cell_angle_beta 90.00
_cell_angle_gamma 90.00
_space_group_name_H-M_alt 'P 1'
_space_group_IT_number 1
loop_
_space_group_symop_operation_xyz
'x,y,z'
loop_
_atom_site_label
_atom_site_fract_x
_atom_site_fract_y
_atom_site_fract_z
Hg1 0.021 0.240 0.134
Hg2 0.103 0.051 0.500
Hg3 0.111 0.914 0.894
Hg4 0.174 0.404 0.765
Hg5 0.230 0.337 0.150
Hg6 0.270 0.837 0.650
Hg7 0.326 0.904 0.265
Hg8 0.389 0.414 0.394
Hg9 0.397 0.551 0.000
Hg10 0.479 0.740 0.634
Hg11 0.521 0.260 0.134
Hg12 0.603 0.449 0.500
Hg13 0.611 0.586 0.894
Hg14 0.674 0.096 0.765
Hg15 0.730 0.163 0.150
Hg16 0.770 0.663 0.650
Hg17 0.826 0.596 0.265
Hg18 0.889 0.086 0.394
Hg19 0.897 0.949 0.000
Hg20 0.979 0.760 0.634
Sb1 0.085 0.730 0.505
Sb2 0.159 0.721 0.718
Sb3 0.341 0.221 0.218
Sb4 0.415 0.230 0.005
Sb5 0.585 0.770 0.505
Sb6 0.659 0.779 0.718
Sb7 0.841 0.279 0.218
Sb8 0.915 0.270 0.005
I1 0.013 0.287 0.405
I2 0.058 0.204 0.777
I3 0.120 0.993 0.138
I4 0.123 0.496 0.105
I5 0.205 0.263 0.502
I6 0.247 0.692 0.376
I7 0.253 0.192 0.876
I8 0.295 0.763 0.002
I9 0.377 0.996 0.605
I10 0.380 0.493 0.638
I11 0.442 0.704 0.277
I12 0.487 0.787 0.905
I13 0.513 0.213 0.405
I14 0.558 0.296 0.777
I15 0.620 0.507 0.138
I16 0.623 0.004 0.105
I17 0.705 0.237 0.502
I18 0.747 0.808 0.376
I19 0.753 0.308 0.876
I20 0.795 0.737 0.002
I21 0.877 0.504 0.605
I22 0.880 0.007 0.638
I23 0.942 0.796 0.277
I24 0.987 0.713 0.905
```

***

Entry 11:
The following is a theoretical X-ray diffraction stick pattern of Nd7Zn2Cd2. It was derived from a DFT-relaxed cell (GGA-PBE, Alexandria), using CuKα.
Lines closer than 0.1° are merged.

Most intense lines, 2θ = 5–70°, in order of rising 2θ:
two_theta  intensity
25.60  40
26.35  63
27.38  29
27.97  59
31.69  68
34.76  48
36.05  100
45.48  22
54.22  25
56.49  21

Cell and atoms:
```
data_Nd7Zn2Cd2
_cell_length_a 6.843
_cell_length_b 6.843
_cell_length_c 7.977
_cell_angle_alpha 90.00
_cell_angle_beta 90.00
_cell_angle_gamma 111.20
_space_group_name_H-M_alt 'P 1'
_space_group_IT_number 1
loop_
_space_group_symop_operation_xyz
'x,y,z'
loop_
_atom_site_label
_atom_site_fract_x
_atom_site_fract_y
_atom_site_fract_z
Nd1 0.000 0.000 0.000
Nd2 0.000 0.500 0.278
Nd3 0.000 0.500 0.722
Nd4 0.500 0.000 0.278
Nd5 0.500 0.000 0.722
Nd6 0.500 0.500 0.242
Nd7 0.500 0.500 0.758
Zn1 0.288 0.712 0.000
Zn2 0.712 0.288 0.000
Cd1 0.178 0.178 0.500
Cd2 0.822 0.822 0.500
```

***

Entry 12:
The following is a theoretical X-ray diffraction stick pattern of Zn3Cu6Au2. It was derived from a DFT-relaxed cell (GGA-PBE, Alexandria), using CuKα.
Lines closer than 0.1° are merged.

Most intense lines, 2θ = 5–70°, in order of rising 2θ:
two_theta  intensity
28.55  53
31.49  31
35.65  28
38.34  28
41.91  71
42.23  100
42.56  33
43.67  90
43.91  49
44.10  36

Cell and atoms:
```
data_Zn3Cu6Au2
_cell_length_a 4.855
_cell_length_b 5.024
_cell_length_c 6.489
_cell_angle_alpha 94.63
_cell_angle_beta 96.98
_cell_angle_gamma 95.18
_space_group_name_H-M_alt 'P 1'
_space_group_IT_number 1
loop_
_space_group_symop_operation_xyz
'x,y,z'
loop_
_atom_site_label
_atom_site_fract_x
_atom_site_fract_y
_atom_site_fract_z
Zn1 0.000 0.000 0.000
Zn2 0.353 0.018 0.317
Zn3 0.647 0.982 0.683
Cu1 0.126 0.850 0.629
Cu2 0.140 0.486 0.188
Cu3 0.448 0.745 0.972
Cu4 0.552 0.255 0.028
Cu5 0.860 0.514 0.812
Cu6 0.874 0.150 0.371
Au1 0.311 0.375 0.646
Au2 0.689 0.625 0.354
```